[1]
Ba2SmWO6: theoretical powder diffractogram (Cu Kα, 1.54184 Å), based on a crystal structure in the Materials Project, relaxed with PBE+U.
Kinematic intensities with the Lorentz-polarization factor, no thermal factor.

Most intense lines, 10° ≤ 2θ ≤ 80°, in order of rising 2θ:
two_theta	I/Imax
17.82	12
20.60	41
29.30	1000
41.91	283
47.14	17
51.96	410
60.77	180
64.89	7
68.87	184
76.56	60

Crystal structure
Cell lengths 6.0966, 6.0966, 6.0966 Å; angles 60.00, 60.00, 60.00 degrees
Element x y z (fractional)
1 Ba 0.2500 0.2500 0.2500
2 Ba 0.7500 0.7500 0.7500
3 Sm 0.0000 0.0000 0.0000
4 W 0.5000 0.5000 0.5000
5 O 0.2673 0.2673 0.7327
6 O 0.2673 0.7327 0.2673
7 O 0.2673 0.7327 0.7327
8 O 0.7327 0.2673 0.2673
9 O 0.7327 0.2673 0.7327
10 O 0.7327 0.7327 0.2673


[2]
Ba3Sm2WO9: theoretical powder diffractogram (Cu Kα, 1.54184 Å), based on a crystal structure in the Materials Project, relaxed with PBE+U.
Kinematic intensities with the Lorentz-polarization factor, no thermal factor.

Most intense lines, 10° ≤ 2θ ≤ 80°, in order of rising 2θ:
two_theta	I/Imax
28.75	1000
41.00	94
41.17	187
50.87	132
50.97	265
59.50	116
59.63	58
67.28	57
67.53	118
74.91	55

Crystal structure
Cell lengths 10.7501, 10.7501, 10.7501 Å; angles 146.47, 131.65, 60.12 degrees
Element x y z (fractional)
1 Ba 0.0790 0.3395 0.7395
2 Ba 0.2346 0.0000 0.2346
3 Ba 0.4000 0.6605 0.7395
4 Ba 0.6000 0.3395 0.2605
5 Ba 0.7654 0.0000 0.7654
6 Ba 0.9210 0.6605 0.2605
7 Sm 0.0000 0.5000 0.5000
8 Sm 0.1736 0.1736 0.0000
9 Sm 0.5000 0.5000 0.0000
10 Sm 0.8264 0.8264 0.0000
11 W 0.3349 0.8349 0.5000
12 W 0.6651 0.1651 0.5000
13 O 0.0903 0.3396 0.2494
14 O 0.0903 0.8409 0.7506
15 O 0.1057 0.8307 0.2750
16 O 0.2529 0.5000 0.7529
17 O 0.2612 0.5358 0.2746
18 O 0.2612 0.9867 0.7254
19 O 0.4095 0.1347 0.7251
20 O 0.4095 0.6844 0.2749
21 O 0.4443 0.1693 0.2750
22 O 0.5557 0.8307 0.7250
23 O 0.5905 0.3156 0.7251
24 O 0.5905 0.8653 0.2749
25 O 0.7388 0.0133 0.2746
26 O 0.7388 0.4642 0.7254
27 O 0.7471 0.5000 0.2471
28 O 0.8943 0.1693 0.7250
29 O 0.9097 0.1591 0.2494
30 O 0.9097 0.6604 0.7506


[3]
Ba2SmWO6: theoretical powder diffractogram (Cu Kα, 1.54184 Å), based on a crystal structure in the Materials Project, relaxed with PBE+U.
Kinematic intensities with the Lorentz-polarization factor, no thermal factor.

Most intense lines, 10° ≤ 2θ ≤ 80°, in order of rising 2θ:
two_theta	I/Imax
17.81	12
20.59	39
29.28	1000
41.89	279
47.12	16
51.93	416
60.74	176
64.86	7
68.84	184
76.51	58

Crystal structure
Cell lengths 8.6258, 8.6258, 8.6258 Å; angles 90.00, 90.00, 90.00 degrees
Element x y z (fractional)
1 Ba 0.2500 0.2500 0.2500
2 Ba 0.2500 0.2500 0.7500
3 Ba 0.2500 0.7500 0.2500
4 Ba 0.2500 0.7500 0.7500
5 Ba 0.7500 0.2500 0.2500
6 Ba 0.7500 0.2500 0.7500
7 Ba 0.7500 0.7500 0.2500
8 Ba 0.7500 0.7500 0.7500
9 Sm 0.0000 0.0000 0.0000
10 Sm 0.0000 0.5000 0.5000
11 Sm 0.5000 0.0000 0.5000
12 Sm 0.5000 0.5000 0.0000
13 W 0.0000 0.0000 0.5000
14 W 0.0000 0.5000 0.0000
15 W 0.5000 0.0000 0.0000
16 W 0.5000 0.5000 0.5000
17 O 0.0132 0.2332 0.5169
18 O 0.0132 0.2668 0.9831
19 O 0.0169 0.5132 0.7668
20 O 0.0169 0.9868 0.7332
21 O 0.2332 0.5169 0.0132
22 O 0.2332 0.9831 0.4868
23 O 0.2668 0.5169 0.4868
24 O 0.2668 0.9831 0.0132
25 O 0.4831 0.5132 0.7332
26 O 0.4831 0.9868 0.7668
27 O 0.4868 0.2332 0.9831
28 O 0.4868 0.2668 0.5169
29 O 0.5132 0.7332 0.4831
30 O 0.5132 0.7668 0.0169
31 O 0.5169 0.0132 0.2332
32 O 0.5169 0.4868 0.2668
33 O 0.7332 0.0169 0.9868
34 O 0.7332 0.4831 0.5132
35 O 0.7668 0.0169 0.5132
36 O 0.7668 0.4831 0.9868
37 O 0.9831 0.0132 0.2668
38 O 0.9831 0.4868 0.2332
39 O 0.9868 0.7332 0.0169
40 O 0.9868 0.7668 0.4831


[4]
BaSrV4O12: theoretical powder diffractogram (Cu Kα, 1.54184 Å), based on a crystal structure in the Materials Project, relaxed with PBE+U.
Kinematic intensities with the Lorentz-polarization factor, no thermal factor.

Most intense lines, 10° ≤ 2θ ≤ 80°, in order of rising 2θ:
two_theta	I/Imax
20.14	902
33.19	1000
39.13	488
40.94	133
47.64	503
52.22	209
59.29	372
63.28	157
69.66	277
73.35	154

Crystal structure
Cell lengths 5.4016, 5.4016, 7.6292 Å; angles 90.00, 90.00, 90.00 degrees
Element x y z (fractional)
1 Ba 0.0000 0.0000 0.0000
2 Sr 0.5000 0.5000 0.5000
3 V 0.0000 0.5000 0.2525
4 V 0.0000 0.5000 0.7475
5 V 0.5000 0.0000 0.2525
6 V 0.5000 0.0000 0.7475
7 O 0.0000 0.5000 0.0000
8 O 0.0000 0.5000 0.5000
9 O 0.2524 0.2524 0.2548
10 O 0.2524 0.2524 0.7452
11 O 0.2524 0.7476 0.2548
12 O 0.2524 0.7476 0.7452
13 O 0.5000 0.0000 0.0000
14 O 0.5000 0.0000 0.5000
15 O 0.7476 0.2524 0.2548
16 O 0.7476 0.2524 0.7452
17 O 0.7476 0.7476 0.2548
18 O 0.7476 0.7476 0.7452


[5]
BaSrYVO6: theoretical powder diffractogram (Cu Kα, 1.54184 Å), based on a crystal structure in the Materials Project, relaxed with PBE+U.
Kinematic intensities with the Lorentz-polarization factor, no thermal factor.

Most intense lines, 10° ≤ 2θ ≤ 80°, in order of rising 2θ:
two_theta	I/Imax
18.54	53
30.50	1000
35.93	45
37.59	106
43.68	343
47.83	28
54.21	384
63.48	203
72.06	175
76.18	30

Crystal structure
Cell lengths 5.8614, 5.8614, 5.8614 Å; angles 60.00, 60.00, 60.00 degrees
Element x y z (fractional)
1 Ba 0.0000 0.0000 0.0000
2 Sr 0.5000 0.5000 0.5000
3 Y 0.2500 0.2500 0.2500
4 V 0.7500 0.7500 0.7500
5 O 0.5193 0.5193 0.9807
6 O 0.5193 0.9807 0.5193
7 O 0.5193 0.9807 0.9807
8 O 0.9807 0.5193 0.5193
9 O 0.9807 0.5193 0.9807
10 O 0.9807 0.9807 0.5193


[6]
Ba2SrWO6: theoretical powder diffractogram (Cu Kα, 1.54184 Å), based on a crystal structure in the Materials Project, relaxed with PBE+U.
Kinematic intensities with the Lorentz-polarization factor, no thermal factor.

Most intense lines, 10° ≤ 2θ ≤ 80°, in order of rising 2θ:
two_theta	I/Imax
17.72	137
28.80	1000
29.19	990
41.40	368
41.61	170
50.74	141
51.47	279
51.61	145
51.76	203
60.53	166

Crystal structure
Cell lengths 6.1155, 6.1155, 6.2143 Å; angles 119.69, 119.69, 60.09 degrees
Element x y z (fractional)
1 Ba 0.2474 0.2474 0.2391
2 Ba 0.7526 0.7526 0.7609
3 Sr 0.0000 0.0000 0.5000
4 W 0.5000 0.5000 0.0000
5 O 0.2324 0.6847 0.1768
6 O 0.2809 0.2809 0.7068
7 O 0.3153 0.7676 0.8232
8 O 0.6847 0.2324 0.1768
9 O 0.7191 0.7191 0.2932
10 O 0.7676 0.3153 0.8232


[7]
Ba2SrWO6: theoretical powder diffractogram (Cu Kα, 1.54184 Å), based on a crystal structure in the Materials Project, relaxed with PBE+U.
Kinematic intensities with the Lorentz-polarization factor, no thermal factor.

Most intense lines, 10° ≤ 2θ ≤ 80°, in order of rising 2θ:
two_theta	I/Imax
17.60	104
28.93	1000
34.07	40
41.38	291
51.28	405
54.64	22
59.95	183
63.01	20
67.92	189
75.46	60

Crystal structure
Cell lengths 6.1718, 6.1718, 6.1718 Å; angles 60.00, 60.00, 60.00 degrees
Element x y z (fractional)
1 Ba 0.2500 0.2500 0.2500
2 Ba 0.7500 0.7500 0.7500
3 Sr 0.0000 0.0000 0.0000
4 W 0.5000 0.5000 0.5000
5 O 0.2758 0.2758 0.7242
6 O 0.2758 0.7242 0.2758
7 O 0.2758 0.7242 0.7242
8 O 0.7242 0.2758 0.2758
9 O 0.7242 0.2758 0.7242
10 O 0.7242 0.7242 0.2758


[8]
Ba2SrWO6: theoretical powder diffractogram (Cu Kα, 1.54184 Å), based on a crystal structure in the Materials Project, relaxed with PBE+U.
Kinematic intensities with the Lorentz-polarization factor, no thermal factor.

Most intense lines, 10° ≤ 2θ ≤ 80°, in order of rising 2θ:
two_theta	I/Imax
17.61	106
28.94	1000
34.08	38
41.39	277
51.30	422
54.66	22
59.98	170
63.03	20
67.95	190
75.49	55

Crystal structure
Cell lengths 8.7249, 8.7249, 8.7249 Å; angles 90.00, 90.00, 90.00 degrees
Element x y z (fractional)
1 Ba 0.2500 0.2500 0.2500
2 Ba 0.2500 0.2500 0.7500
3 Ba 0.2500 0.7500 0.2500
4 Ba 0.2500 0.7500 0.7500
5 Ba 0.7500 0.2500 0.2500
6 Ba 0.7500 0.2500 0.7500
7 Ba 0.7500 0.7500 0.2500
8 Ba 0.7500 0.7500 0.7500
9 Sr 0.0000 0.0000 0.0000
10 Sr 0.0000 0.5000 0.5000
11 Sr 0.5000 0.0000 0.5000
12 Sr 0.5000 0.5000 0.0000
13 W 0.0000 0.0000 0.5000
14 W 0.0000 0.5000 0.0000
15 W 0.5000 0.0000 0.0000
16 W 0.5000 0.5000 0.5000
17 O 0.0248 0.5280 0.7780
18 O 0.0248 0.9720 0.7220
19 O 0.0280 0.2220 0.5248
20 O 0.0280 0.2780 0.9752
21 O 0.2220 0.5248 0.0280
22 O 0.2220 0.9752 0.4720
23 O 0.2780 0.5248 0.4720
24 O 0.2780 0.9752 0.0280
25 O 0.4720 0.2220 0.9752
26 O 0.4720 0.2780 0.5248
27 O 0.4752 0.5280 0.7220
28 O 0.4752 0.9720 0.7780
29 O 0.5248 0.0280 0.2220
30 O 0.5248 0.4720 0.2780
31 O 0.5280 0.7220 0.4752
32 O 0.5280 0.7780 0.0248
33 O 0.7220 0.0248 0.9720
34 O 0.7220 0.4752 0.5280
35 O 0.7780 0.0248 0.5280
36 O 0.7780 0.4752 0.9720
37 O 0.9720 0.7220 0.0248
38 O 0.9720 0.7780 0.4752
39 O 0.9752 0.0280 0.2780
40 O 0.9752 0.4720 0.2220


[9]
Ba2SrWO6: theoretical powder diffractogram (Cu Kα, 1.54184 Å), based on a crystal structure in the Materials Project, relaxed with PBE+U.
Kinematic intensities with the Lorentz-polarization factor, no thermal factor.

Most intense lines, 10° ≤ 2θ ≤ 80°, in order of rising 2θ:
two_theta	I/Imax
17.51	181
28.72	1000
29.14	989
41.37	541
50.87	231
51.14	426
51.93	193
60.42	169
67.58	186
68.25	189

Crystal structure
Cell lengths 6.1295, 6.1295, 6.1295 Å; angles 60.96, 60.96, 60.96 degrees
Element x y z (fractional)
1 Ba 0.2468 0.2468 0.2468
2 Ba 0.7532 0.7532 0.7532
3 Sr 0.5000 0.5000 0.5000
4 W 0.0000 0.0000 0.0000
5 O 0.1607 0.2823 0.7859
6 O 0.2141 0.8393 0.7177
7 O 0.2823 0.7859 0.1607
8 O 0.7177 0.2141 0.8393
9 O 0.7859 0.1607 0.2823
10 O 0.8393 0.7177 0.2141


[10]
BaSrYWO6: theoretical powder diffractogram (Cu Kα, 1.54184 Å), based on a crystal structure in the Materials Project, relaxed with PBE+U.
Kinematic intensities with the Lorentz-polarization factor, no thermal factor.

Most intense lines, 10° ≤ 2θ ≤ 80°, in order of rising 2θ:
two_theta	I/Imax
18.20	104
29.94	1000
42.79	193
42.96	94
53.11	285
53.22	142
62.16	116
70.39	60
70.54	60
70.73	59

Crystal structure
Cell lengths 8.4207, 8.4445, 8.4626 Å; angles 90.00, 90.00, 90.00 degrees
Element x y z (fractional)
1 Ba 0.0000 0.0000 0.0000
2 Ba 0.0000 0.0000 0.5000
3 Ba 0.0000 0.5000 0.0000
4 Ba 0.5000 0.5000 0.5000
5 Sr 0.0000 0.5000 0.5000
6 Sr 0.5000 0.0000 0.0000
7 Sr 0.5000 0.0000 0.5000
8 Sr 0.5000 0.5000 0.0000
9 Y 0.2521 0.2504 0.2501
10 Y 0.2521 0.7496 0.7499
11 Y 0.7479 0.2504 0.7499
12 Y 0.7479 0.7496 0.2501
13 W 0.2525 0.2504 0.7503
14 W 0.2525 0.7496 0.2497
15 W 0.7475 0.2504 0.2497
16 W 0.7475 0.7496 0.7503
17 O 0.0164 0.2292 0.7256
18 O 0.0164 0.7708 0.2744
19 O 0.2195 0.4856 0.7183
20 O 0.2195 0.5144 0.2817
21 O 0.2299 0.2752 0.9875
22 O 0.2299 0.7248 0.0125
23 O 0.2819 0.2182 0.5132
24 O 0.2819 0.7818 0.4868
25 O 0.2830 0.0143 0.7779
26 O 0.2830 0.9857 0.2221
27 O 0.4853 0.2806 0.7824
28 O 0.4853 0.7194 0.2176
29 O 0.5147 0.2806 0.2176
30 O 0.5147 0.7194 0.7824
31 O 0.7170 0.0143 0.2221
32 O 0.7170 0.9857 0.7779
33 O 0.7181 0.2182 0.4868
34 O 0.7181 0.7818 0.5132
35 O 0.7701 0.2752 0.0125
36 O 0.7701 0.7248 0.9875
37 O 0.7805 0.4856 0.2817
38 O 0.7805 0.5144 0.7183
39 O 0.9836 0.2292 0.2744
40 O 0.9836 0.7708 0.7256